For MgMo2WSe4S2, the GGA-PBE geometry in the Materials Project gives the calculated powder X-ray diffraction pattern in this record (Cu Kα, 1.54184 Å).
No peak broadening, texture or thermal motion is included.

Most intense lines, 10° ≤ 2θ ≤ 90°, by angle:
two_theta, d/Å, I_rel, h k l
11.90, 7.440, 91, 0 0 5
31.60, 2.831, 78, 1 0 0
34.81, 2.577, 57, 1 0 6
35.92, 2.500, 55, 1 0 7
40.00, 2.254, 69, 1 0 10
41.58, 2.172, 100, 1 0 11

Crystal structure
Cell: 3.272 3.272 37.200 Å, 90.00 90.00 120.00°
Sites, in units of the cell vectors:
Mg: 0.000 0.000 0.000
Mo: 0.333 0.667 0.346
Mo: 0.333 0.667 0.876
W: 0.667 0.333 0.124
Se: 0.667 0.333 0.301
Se: 0.667 0.333 0.392
Se: 0.667 0.333 0.831
Se: 0.667 0.333 0.922
S: 0.333 0.667 0.082
S: 0.333 0.667 0.165